1.
The following is a calculated powder X-ray diffraction pattern of Pm5Ho2Tm2. It was derived from DFT lattice parameters and positions (PBE), using Cu Kα.
Neutral-atom scattering factors, no anomalous dispersion.

Most intense lines, 2θ = 5–70°, sorted by position:
2θ = 28.0°, rel. 31.8
2θ = 28.6°, rel. 38.8
2θ = 28.9°, rel. 34.4
2θ = 30.5°, rel. 62.5
2θ = 31.3°, rel. 36.5
2θ = 32.0°, rel. 100.0
2θ = 34.8°, rel. 33.0
2θ = 34.9°, rel. 88.6
2θ = 53.2°, rel. 21.5
2θ = 61.8°, rel. 20.2

Structural model:
Unit cell a=10.356 b=10.356 c=10.356 alpha=86.80 beta=103.51 gamma=145.30
Atoms (fractional coordinates):
Pm: 0.155 0.485 0.959
Pm: 0.155 0.697 0.171
Pm: 0.199 0.049 0.248
Pm: 0.199 0.451 0.651
Pm: 0.526 0.197 0.041
Pm: 0.526 0.985 0.829
Pm: 0.574 0.501 0.573
Pm: 0.801 0.549 0.349
Pm: 0.801 0.951 0.752
Pm: 0.928 0.001 0.427
Ho: 0.221 0.027 0.695
Ho: 0.332 0.527 0.305
Ho: 0.407 0.407 0.000
Ho: 0.407 0.907 0.500
Tm: 0.796 0.210 0.315
Tm: 0.796 0.981 0.086
Tm: 0.895 0.481 0.685
Tm: 0.895 0.710 0.914

---

2.
The following is a calculated powder X-ray diffraction pattern of Ho6Er3Th. It was derived from DFT lattice parameters and positions (PBE), using Cu Kα.
Neutral-atom scattering factors, no anomalous dispersion.

Most intense lines, 2θ = 5–70°, sorted by position:
2θ = 28.4°, rel. 48.5
2θ = 30.1°, rel. 81.8
2θ = 30.4°, rel. 37.8
2θ = 30.9°, rel. 76.5
2θ = 32.1°, rel. 100.0
2θ = 32.3°, rel. 78.9
2θ = 32.7°, rel. 57.1
2θ = 35.6°, rel. 26.2
2θ = 37.1°, rel. 24.4
2θ = 50.6°, rel. 20.9

Structural model:
Unit cell a=8.884 b=8.884 c=8.932 alpha=90.00 beta=90.00 gamma=116.33
Atoms (fractional coordinates):
Ho: 0.030 0.321 0.641
Ho: 0.054 0.946 0.500
Ho: 0.186 0.306 0.313
Ho: 0.283 0.717 0.372
Ho: 0.306 0.186 0.813
Ho: 0.321 0.030 0.141
Ho: 0.679 0.970 0.641
Ho: 0.694 0.814 0.313
Ho: 0.717 0.283 0.872
Ho: 0.814 0.694 0.813
Ho: 0.946 0.054 0.000
Ho: 0.970 0.679 0.141
Er: 0.174 0.469 0.983
Er: 0.448 0.552 0.629
Er: 0.469 0.174 0.483
Er: 0.531 0.826 0.983
Er: 0.552 0.448 0.129
Er: 0.826 0.531 0.483
Th: 0.224 0.776 0.736
Th: 0.776 0.224 0.236

---

3.
The following is a calculated powder X-ray diffraction pattern of Th2CoCuRh. It was derived from DFT lattice parameters and positions (PBE), using Cu Kα.
Neutral-atom scattering factors, no anomalous dispersion.

Most intense lines, 2θ = 5–70°, sorted by position:
2θ = 24.9°, rel. 34.0
2θ = 25.9°, rel. 43.7
2θ = 32.7°, rel. 59.0
2θ = 33.8°, rel. 100.0
2θ = 34.7°, rel. 43.6
2θ = 35.3°, rel. 55.6
2θ = 36.9°, rel. 52.9
2θ = 40.1°, rel. 57.8
2θ = 40.6°, rel. 29.1
2θ = 46.2°, rel. 41.6

Structural model:
Unit cell a=7.224 b=3.926 c=7.752 alpha=90.00 beta=112.59 gamma=90.00
Atoms (fractional coordinates):
Th: 0.035 0.250 0.216
Th: 0.376 0.750 0.645
Th: 0.624 0.250 0.355
Th: 0.965 0.750 0.784
Co: 0.099 0.250 0.608
Co: 0.901 0.750 0.392
Cu: 0.357 0.250 0.946
Cu: 0.643 0.750 0.054
Rh: 0.312 0.750 0.194
Rh: 0.688 0.250 0.806

---

4.
The following is a calculated powder X-ray diffraction pattern of Al2InTe. It was derived from DFT lattice parameters and positions (PBE), using Cu Kα.
Neutral-atom scattering factors, no anomalous dispersion.

Most intense lines, 2θ = 5–70°, sorted by position:
2θ = 11.2°, rel. 47.3
2θ = 25.1°, rel. 86.0
2θ = 29.4°, rel. 53.2
2θ = 31.5°, rel. 24.6
2θ = 32.0°, rel. 100.0
2θ = 34.1°, rel. 34.6
2θ = 39.0°, rel. 78.8
2θ = 44.0°, rel. 53.6
2θ = 45.6°, rel. 59.4
2θ = 66.5°, rel. 22.8

Structural model:
Unit cell a=3.042 b=3.973 c=7.883 alpha=90.00 beta=90.03 gamma=90.00
Atoms (fractional coordinates):
Al: 0.000 0.000 0.000
Al: 0.500 0.500 0.173
In: 0.498 0.500 0.763
Te: 0.500 0.000 0.437

---

Q: Which formula does entry 2 have?
A: Ho6Er3Th